Starting from DFT lattice parameters and positions (PBE+U), the X-ray diffraction stick pattern of Sm4MgTi2Mn2O12 was simulated for Cu Kα (weighted mean of Kα1 and Kα2).

Main lines, by angle (15 to 90 degrees two-theta):
| index | Position (°2θ) | intensity |
| --- | --- | --- |
| 1 -1 0 | 21.1 | 69 |
| 0 0 2 | 22.1 | 74 |
| 1 1 -1 | 23.3 | 54 |
| 1 1 1 | 25.3 | 54 |
| 0 2 0 | 29.8 | 60 |
| -1 1 2 | 30.3 | 93 |
| 2 0 0 | 30.9 | 68 |
| 1 -1 2 | 31.2 | 100 |
| 1 1 2 | 32.6 | 73 |
| 2 -2 0 | 42.9 | 59 |

Atomic structure:
Cell: 5.8161 5.9989 8.0771 Å, 92.80 95.00 91.18°
Space group P1 (No. 1)
Asymmetric unit:
1 Sm 0.0000 0.0000 0.0000 (multiplicity 1)
2 Sm 0.0573 0.1482 0.5035 (multiplicity 1)
3 Sm 0.4894 0.5148 0.9613 (multiplicity 1)
4 Sm 0.6292 0.6865 0.4101 (multiplicity 1)
5 Mg 0.2298 0.6388 0.5717 (multiplicity 1)
6 Ti 0.0451 0.5547 0.2379 (multiplicity 1)
7 Ti 0.5083 0.0593 0.7578 (multiplicity 1)
8 Mn 0.5391 0.1503 0.2609 (multiplicity 1)
9 Mn 0.9402 0.5310 0.7880 (multiplicity 1)
10 O 0.1327 0.6283 0.0153 (multiplicity 1)
11 O 0.1922 0.8280 0.3594 (multiplicity 1)
12 O 0.2015 0.9091 0.7183 (multiplicity 1)
13 O 0.3005 0.3740 0.7101 (multiplicity 1)
14 O 0.3403 0.4130 0.3555 (multiplicity 1)
15 O 0.3832 0.1372 0.0195 (multiplicity 1)
16 O 0.6537 0.0440 0.5073 (multiplicity 1)
17 O 0.6789 0.7706 0.7975 (multiplicity 1)
18 O 0.7448 0.7368 0.1609 (multiplicity 1)
19 O 0.7722 0.2500 0.8470 (multiplicity 1)
20 O 0.8907 0.2577 0.2182 (multiplicity 1)
21 O 0.9237 0.5090 0.5211 (multiplicity 1)